Theoretical X-ray diffraction stick pattern
Compound: Ca3Cu2NiP4O16
Radiation: Cu Kα, 1.54184 Å
Structure: DFT lattice parameters and positions (GGA+U)

```
Ca3Cu2NiP4O16
1.0
8.9608 0.0000 0.0000
0.0000 4.9641 0.0000
-1.2240 0.0000 14.8715
Ca Cu Ni P O
6 4 2 8 32
direct
0.2132 0.0000 0.0143
0.2478 0.0399 0.7510
0.2809 0.0565 0.4837
0.7191 0.5565 0.5163
0.7522 0.5399 0.2490
0.7868 0.5000 0.9857
0.2472 0.0243 0.2490
0.4243 0.5034 0.1307
0.5757 0.0034 0.8693
0.7528 0.5243 0.7510
0.0811 0.5664 0.3731
0.9189 0.0664 0.6269
0.0932 0.5395 0.1555
0.1265 0.5595 0.5941
0.3715 0.5290 0.9110
0.4064 0.5109 0.3443
0.5936 0.0109 0.6557
0.6285 0.0290 0.0890
0.8735 0.0595 0.4059
0.9068 0.0395 0.8445
0.0037 0.6240 0.0691
0.0090 0.5843 0.2403
0.0368 0.9541 0.4024
0.1234 0.8753 0.6070
0.1497 0.2422 0.1489
0.1811 0.5051 0.4982
0.2363 0.4256 0.6632
0.2397 0.7247 0.1658
0.2558 0.7014 0.8569
0.2655 0.3143 0.3367
0.3323 0.7962 0.3517
0.3352 0.5757 0.0115
0.3551 0.2229 0.8910
0.4636 0.1151 0.1016
0.4938 0.4826 0.2596
0.4953 0.9422 0.5710
0.5047 0.4422 0.4290
0.5062 0.9826 0.7404
0.5364 0.6151 0.8984
0.6449 0.7229 0.1090
0.6648 0.0757 0.9885
0.6677 0.2962 0.6483
0.7345 0.8143 0.6633
0.7442 0.2014 0.1431
0.7603 0.2247 0.8342
0.7637 0.9256 0.3368
0.8189 0.0051 0.5018
0.8503 0.7422 0.8511
0.8766 0.3753 0.3930
0.9632 0.4541 0.5976
0.9910 0.0843 0.7597
0.9963 0.1240 0.9309
```

Largest 12 diffraction maxima, sorted by position, 2θ from 10° to 80°:
hkl, 2θ/deg, d (Å), intensity
1 0 1, 11.97, 7.394, 100
0 1 1, 18.85, 4.709, 23
2 1 -1, 27.16, 3.283, 67
2 0 -4, 29.99, 2.980, 17
1 1 -4, 31.05, 2.880, 55
1 1 4, 32.33, 2.769, 30
2 0 4, 32.54, 2.751, 25
3 1 0, 35.16, 2.553, 63
0 2 0, 36.19, 2.482, 37
2 2 -4, 47.70, 1.906, 15
2 2 4, 49.47, 1.842, 19
3 3 0, 64.43, 1.446, 16